Record 1
The following is a computed powder diffractogram of CaRe2H6CN2O10. It was derived from a crystal structure in the Materials Project, relaxed with PBE, using Cu Kα (weighted mean of Kα1 and Kα2).
Kinematic intensities with the Lorentz-polarization factor, no thermal factor.

Principal peaks in the range 2θ = 10–90°, most intense first:
h k l  2θ (°)  I_rel
0 1 0  10.73  100.0
0 1 -2  19.27  61.6
1 1 0  18.64  61.3
1 -2 0  21.59  51.7
0 2 -2  23.44  46.3
1 0 -2  22.74  42.9
2 0 0  24.95  42.8
2 -1 1  25.99  42.7
1 2 0  27.93  42.3
-1 1 2  27.08  42.2

Cell and atoms:
```
data_CaRe2H6CN2O10
_chemical_formula_sum 'Ca2 Re4 H12 C2 N4 O20'
_cell_length_a 7.444
_cell_length_b 9.251
_cell_length_c 9.312
_cell_angle_alpha 111.56
_cell_angle_beta 91.30
_cell_angle_gamma 104.93
_symmetry_space_group_name_H-M 'P -1'
_symmetry_Int_Tables_number 2
loop_
_symmetry_equiv_pos_as_xyz
'x,y,z'
'-x,-y,-z'
loop_
_atom_site_label
_atom_site_type_symbol
_atom_site_fract_x
_atom_site_fract_y
_atom_site_fract_z
_atom_site_occupancy
Ca1 Ca 0.081 0.216 0.484 1
Re1 Re 0.217 0.673 0.829 1
Re2 Re 0.337 0.615 0.361 1
H1 H 0.126 0.274 0.907 1
H2 H 0.157 0.016 0.160 1
H3 H 0.343 0.280 0.986 1
H4 H 0.351 0.147 0.230 1
H5 H 0.425 0.991 0.637 1
H6 H 0.482 0.881 0.170 1
C1 C 0.254 0.121 0.756 1
N1 N 0.238 0.229 0.895 1
N2 N 0.412 0.074 0.741 1
O1 O 0.121 0.762 0.721 1
O2 O 0.124 0.065 0.641 1
O3 O 0.125 0.461 0.744 1
O4 O 0.164 0.750 0.020 1
O5 O 0.228 0.468 0.432 1
O6 O 0.233 0.093 0.259 1
O7 O 0.233 0.775 0.425 1
O8 O 0.313 0.530 0.158 1
O9 O 0.423 0.307 0.565 1
O10 O 0.463 0.731 0.836 1
```

---

Record 2
The following is a computed powder diffractogram of Zr2CuSiP2. It was derived from a crystal structure in the Materials Project, relaxed with PBE, using Cu Kα (weighted mean of Kα1 and Kα2).
Kinematic intensities with the Lorentz-polarization factor, no thermal factor.

Principal peaks in the range 2θ = 10–90°, most intense first:
h k l  2θ (°)  I_rel
1 0 0  31.11  100.0
1 0 6  48.66  39.6
0 0 3  17.99  38.9
1 1 0  44.58  35.4
1 0 3  36.17  28.7
0 0 6  36.45  23.4
1 1 6  58.89  21.8
2 1 6  85.12  15.0
2 1 0  73.70  15.0
1 1 3  48.44  12.4

Cell and atoms:
```
data_Zr2CuSiP2
_chemical_formula_sum 'Zr2 Cu1 Si1 P2'
_cell_length_a 2.874
_cell_length_b 2.874
_cell_length_c 14.789
_cell_angle_alpha 90.00
_cell_angle_beta 90.00
_cell_angle_gamma 90.00
_symmetry_space_group_name_H-M 'P 4/m m m'
_symmetry_Int_Tables_number 123
_symmetry_space_group_name_Hall '-P 4 2'
loop_
_atom_site_label
_atom_site_type_symbol
_atom_site_fract_x
_atom_site_fract_y
_atom_site_fract_z
_atom_site_occupancy
Zr1 Zr 0.000 0.000 0.183 1
Cu1 Cu 0.000 0.000 0.500 1
Si1 Si 0.000 0.000 0.000 1
P1 P 0.000 0.000 0.353 1
```

---

Record 3
The following is a computed powder diffractogram of Al3As. It was derived from a crystal structure in the Materials Project, relaxed with PBE, using Cu Kα (weighted mean of Kα1 and Kα2).
Kinematic intensities with the Lorentz-polarization factor, no thermal factor.

Principal peaks in the range 2θ = 10–90°, most intense first:
h k l  2θ (°)  I_rel
1 1 1  37.77  100.0
2 0 0  43.89  48.5
3 1 1  76.59  36.8
1 0 0  21.54  31.6
2 2 0  63.81  31.3
1 1 0  30.65  26.6
2 1 0  49.39  14.1
2 2 2  80.67  10.7
2 1 1  54.48  10.4
3 0 0  68.19  6.6

Cell and atoms:
```
data_Al3As
_chemical_formula_sum 'Al3 As1'
_cell_length_a 4.126
_cell_length_b 4.126
_cell_length_c 4.126
_cell_angle_alpha 90.00
_cell_angle_beta 90.00
_cell_angle_gamma 90.00
_symmetry_space_group_name_H-M 'P m -3 m'
_symmetry_Int_Tables_number 221
_symmetry_space_group_name_Hall '-P 4 2 3'
loop_
_atom_site_label
_atom_site_type_symbol
_atom_site_fract_x
_atom_site_fract_y
_atom_site_fract_z
_atom_site_occupancy
Al1 Al 0.000 0.000 0.500 1
As1 As 0.500 0.500 0.500 1
```

---

Record 4
The following is a computed powder diffractogram of Er4Ni2C5. It was derived from a crystal structure in the Materials Project, relaxed with PBE, using Cu Kα (weighted mean of Kα1 and Kα2).
Kinematic intensities with the Lorentz-polarization factor, no thermal factor.

Principal peaks in the range 2θ = 10–90°, most intense first:
h k l  2θ (°)  I_rel
1 3 0  34.13  100.0
0 2 1  28.78  75.4
1 1 1  35.77  71.2
1 0 1  34.88  57.7
0 3 1  33.71  37.3
1 5 1  53.33  34.9
1 2 2  58.59  30.3
2 0 0  50.76  25.7
0 6 0  47.33  24.3
1 2 1  38.31  21.6

Cell and atoms:
```
data_Er4Ni2C5
_chemical_formula_sum 'Er4 Ni2 C5'
_cell_length_a 3.597
_cell_length_b 11.540
_cell_length_c 3.679
_cell_angle_alpha 90.00
_cell_angle_beta 90.00
_cell_angle_gamma 90.00
_symmetry_space_group_name_H-M 'P m m 2'
_symmetry_Int_Tables_number 25
loop_
_symmetry_equiv_pos_as_xyz
'x,y,z'
'-x,-y,z'
'-x,y,z'
'x,-y,z'
loop_
_atom_site_label
_atom_site_type_symbol
_atom_site_fract_x
_atom_site_fract_y
_atom_site_fract_z
_atom_site_occupancy
Er1 Er 0.000 0.000 0.000 1
Er2 Er 0.000 0.297 0.705 1
Er3 Er 0.500 0.500 0.210 1
Ni1 Ni 0.500 0.116 0.511 1
C1 C 0.000 0.500 0.716 1
C2 C 0.500 0.168 0.012 1
C3 C 0.500 0.271 0.209 1
```

---

Record 5
The following is a computed powder diffractogram of PrGa8Fe2. It was derived from a crystal structure in the Materials Project, relaxed with PBE, using Cu Kα (weighted mean of Kα1 and Kα2).
Kinematic intensities with the Lorentz-polarization factor, no thermal factor.

Principal peaks in the range 2θ = 10–90°, most intense first:
h k l  2θ (°)  I_rel
3 3 1  36.04  100.0
1 4 1  34.17  59.5
0 0 2  44.69  52.5
0 6 1  44.06  33.1
4 1 1  36.59  30.1
5 4 0  43.85  24.1
2 7 0  46.71  23.9
3 5 1  44.31  22.7
3 11 0  76.68  19.4
2 7 2  66.63  15.9

Cell and atoms:
```
data_PrGa8Fe2
_chemical_formula_sum 'Pr4 Ga32 Fe8'
_cell_length_a 12.640
_cell_length_b 14.308
_cell_length_c 4.056
_cell_angle_alpha 90.00
_cell_angle_beta 90.00
_cell_angle_gamma 90.00
_symmetry_space_group_name_H-M 'P b a m'
_symmetry_Int_Tables_number 55
loop_
_symmetry_equiv_pos_as_xyz
'x,y,z'
'-x,-y,-z'
'-x,-y,z'
'x,y,-z'
'x+1/2,-y+1/2,-z'
'-x+1/2,y+1/2,z'
'-x+1/2,y+1/2,-z'
'x+1/2,-y+1/2,z'
loop_
_atom_site_label
_atom_site_type_symbol
_atom_site_fract_x
_atom_site_fract_y
_atom_site_fract_z
_atom_site_occupancy
Pr1 Pr 0.157 0.181 0.000 1
Ga1 Ga 0.000 0.000 0.000 1
Ga2 Ga 0.000 0.500 0.500 1
Ga3 Ga 0.025 0.866 0.500 1
Ga4 Ga 0.048 0.318 0.500 1
Ga5 Ga 0.098 0.745 0.000 1
Ga6 Ga 0.164 0.454 0.000 1
Ga7 Ga 0.164 0.621 0.500 1
Ga8 Ga 0.169 0.009 0.500 1
Ga9 Ga 0.239 0.826 0.500 1
Fe1 Fe 0.034 0.591 0.000 1
Fe2 Fe 0.152 0.903 0.000 1
```

---

Record 6
The following is a computed powder diffractogram of Cs2Si2Se5. It was derived from a crystal structure in the Materials Project, relaxed with PBE, using Cu Kα (weighted mean of Kα1 and Kα2).
Kinematic intensities with the Lorentz-polarization factor, no thermal factor.

Principal peaks in the range 2θ = 10–90°, most intense first:
h k l  2θ (°)  I_rel
3 3 1  25.73  100.0
2 2 -3  29.45  80.0
3 3 -1  23.10  66.9
4 2 -2  27.44  59.8
0 6 1  33.12  56.0
2 2 2  25.53  55.0
1 1 -2  18.72  52.1
4 4 0  30.33  44.7
3 3 2  31.42  43.5
5 1 -2  29.89  43.3

Cell and atoms:
```
data_Cs2Si2Se5
_chemical_formula_sum 'Cs16 Si16 Se40'
_cell_length_a 16.825
_cell_length_b 16.906
_cell_length_c 9.911
_cell_angle_alpha 90.00
_cell_angle_beta 102.27
_cell_angle_gamma 90.00
_symmetry_space_group_name_H-M 'C 1 2/c 1'
_symmetry_Int_Tables_number 15
loop_
_symmetry_equiv_pos_as_xyz
'x,y,z'
'-x,-y,-z'
'-x,y,-z+1/2'
'x,-y,z+1/2'
'x+1/2,y+1/2,z'
'-x+1/2,-y+1/2,-z'
'-x+1/2,y+1/2,-z+1/2'
'x+1/2,-y+1/2,z+1/2'
loop_
_atom_site_label
_atom_site_type_symbol
_atom_site_fract_x
_atom_site_fract_y
_atom_site_fract_z
_atom_site_occupancy
Cs1 Cs 0.129 0.080 0.122 1
Cs2 Cs 0.155 0.368 0.370 1
Si1 Si 0.063 0.205 0.616 1
Si2 Si 0.097 0.363 0.886 1
Se1 Se 0.000 0.122 0.750 1
Se2 Se 0.000 0.443 0.750 1
Se3 Se 0.035 0.282 0.026 1
Se4 Se 0.118 0.129 0.480 1
Se5 Se 0.162 0.282 0.752 1
Se6 Se 0.189 0.435 0.023 1
```